This entry pairs a crystal structure of Pm4Pr2ErSc with its computed X-ray powder pattern. Radiation: Cu Ka. Structure: a DFT-relaxed cell (PBE, Alexandria).
Lines closer than 0.1° are merged.

Largest 12 diffraction maxima, by angle, 2θ = 10–90°:
two_theta	I (rel.)	h k l
30.41	100	1 1 2
35.12	17	0 2 0
35.32	33	2 0 0
50.67	24	2 2 0
50.82	12	2 0 4
60.11	14	1 3 2
60.36	21	3 1 2
60.45	7	1 1 6
63.27	12	2 2 4
82.50	9	3 3 2
84.97	5	2 4 0
85.42	5	4 0 4

Structure:
abc: 5.0872 5.1102 10.1538
angles: 90.00 90.07 90.00
Space group P2/m (No. 10)
Asymmetric unit:
Pm1 0.9997 0.0000 0.2457 [2 per cell]
Pm2 0.5000 0.5000 0.2465 [2 per cell]
Pr1 0.0000 0.5000 0.0000 [1 per cell]
Pr2 0.5000 0.0000 0.5000 [1 per cell]
Er1 0.0000 0.5000 0.5000 [1 per cell]
Sc1 0.5000 0.0000 0.0000 [1 per cell]

***

This entry pairs a crystal structure of PmPr5Er2Sc with its computed X-ray powder pattern. Radiation: Cu Ka. Structure: a DFT-relaxed cell (PBE, Alexandria).
Lines closer than 0.1° are merged.

Largest 12 diffraction maxima, by angle, 2θ = 10–90°:
two_theta	I (rel.)	h k l
26.76	36	1 3 2
30.99	9	1 1 3
31.40	100	1 5 2
32.58	14	0 8 0
33.14	41	2 0 0
34.63	17	0 0 4
47.16	11	2 8 0
48.69	14	2 0 4
58.12	17	3 5 2
59.82	9	2 8 4
60.04	20	1 13 2
79.98	9	3 13 2

Structure:
abc: 5.4061 21.9857 10.3611
angles: 90.00 90.00 90.00
Space group Cmcm (No. 63)
Asymmetric unit:
Pm1 0.0000 0.1011 0.2500 [4 per cell]
Pr1 0.0000 0.0000 0.0000 [4 per cell]
Pr2 0.0000 0.1266 0.7500 [4 per cell]
Pr3 0.0000 0.2215 0.0627 [8 per cell]
Pr4 0.0000 0.4981 0.2500 [4 per cell]
Er1 0.0000 0.3842 0.5034 [8 per cell]
Sc1 0.0000 0.2856 0.7500 [4 per cell]

***

This entry pairs a crystal structure of PmPr2Er5Sc with its computed X-ray powder pattern. Radiation: Cu Ka. Structure: a DFT-relaxed cell (PBE, Alexandria).
Lines closer than 0.1° are merged.

Largest 12 diffraction maxima, by angle, 2θ = 10–90°:
two_theta	I (rel.)	h k l
27.02	23	1 3 2
28.49	18	0 6 1
30.57	40	1 1 3
32.06	46	2 0 0
32.67	100	1 5 2
34.30	12	0 0 4
43.42	12	2 6 1
47.66	9	2 0 4
51.83	12	0 6 5
57.54	20	3 5 2
60.43	13	1 11 3
62.26	14	2 6 5

Structure:
abc: 5.5832 19.6993 10.4581
angles: 90.00 90.00 90.00
Space group Cmc2_1 (No. 36)
Asymmetric unit:
Pm1 0.0000 0.0869 0.0000 [4 per cell]
Pr1 0.0000 0.3847 0.2746 [4 per cell]
Pr2 0.0000 0.3873 0.8560 [4 per cell]
Er1 0.0000 0.0178 0.2804 [4 per cell]
Er2 0.0000 0.1241 0.5599 [4 per cell]
Er3 0.0000 0.2029 0.2448 [4 per cell]
Er4 0.0000 0.2230 0.8637 [4 per cell]
Er5 0.0000 0.4830 0.5616 [4 per cell]
Sc1 0.0000 0.3026 0.5556 [4 per cell]

***

This entry pairs a crystal structure of PmPr2SmEr4 with its computed X-ray powder pattern. Radiation: Cu Ka. Structure: a DFT-relaxed cell (PBE, Alexandria).
Lines closer than 0.1° are merged.

Largest 12 diffraction maxima, by angle, 2θ = 10–90°:
two_theta	I (rel.)	h k l
30.51	100	1 1 2
34.96	17	0 2 0
35.14	17	2 0 0
36.01	16	0 0 4
50.41	12	2 2 0
51.07	12	0 2 4
51.19	12	2 0 4
59.96	15	1 3 2
60.19	15	3 1 2
61.36	14	1 1 6
63.50	12	2 2 4
82.17	6	3 3 2

Structure:
abc: 5.1083 5.1326 9.9762
angles: 90.00 90.00 90.00
Space group Pmmm (No. 47)
Asymmetric unit:
Pm1 0.0000 0.0000 0.0000 [1 per cell]
Pr1 0.0000 0.0000 0.5000 [1 per cell]
Pr2 0.5000 0.5000 0.0000 [1 per cell]
Sm1 0.5000 0.5000 0.5000 [1 per cell]
Er1 0.0000 0.5000 0.2504 [2 per cell]
Er2 0.5000 0.0000 0.2502 [2 per cell]

***

This entry pairs a crystal structure of TbPmPr5Er2 with its computed X-ray powder pattern. Radiation: Cu Ka. Structure: a DFT-relaxed cell (PBE, Alexandria).
Lines closer than 0.1° are merged.

Largest 12 diffraction maxima, by angle, 2θ = 10–90°:
two_theta	I (rel.)	h k l
26.21	10	1 3 2
27.29	14	0 6 1
29.70	33	1 1 3
31.42	38	2 0 0
31.54	100	1 5 2
33.21	12	0 0 4
42.10	9	2 6 1
46.37	10	2 0 4
49.93	10	0 6 5
56.01	20	3 5 2
57.88	13	1 11 3
60.19	11	2 6 5

Structure:
abc: 5.6942 20.5703 10.7913
angles: 90.00 90.00 90.00
Space group Cmc2_1 (No. 36)
Asymmetric unit:
Tb1 0.0000 0.0903 0.0000 [4 per cell]
Pm1 0.0000 0.3002 0.5516 [4 per cell]
Pr1 0.0000 0.0194 0.2849 [4 per cell]
Pr2 0.0000 0.1116 0.5662 [4 per cell]
Pr3 0.0000 0.2044 0.2452 [4 per cell]
Pr4 0.0000 0.2193 0.8525 [4 per cell]
Pr5 0.0000 0.4842 0.5620 [4 per cell]
Er1 0.0000 0.3840 0.8557 [4 per cell]
Er2 0.0000 0.3891 0.2811 [4 per cell]

***

This entry pairs a crystal structure of Tb4Pm2Pr2Er with its computed X-ray powder pattern. Radiation: Cu Ka. Structure: a DFT-relaxed cell (PBE, Alexandria).
Lines closer than 0.1° are merged.

Largest 12 diffraction maxima, by angle, 2θ = 10–90°:
two_theta	I (rel.)	h k l
28.53	37	6 0 -1
29.15	16	6 0 -2
30.74	51	0 0 3
31.51	100	3 1 -2
33.18	89	3 1 1
50.14	39	0 2 0
54.04	21	3 1 -5
57.29	19	3 1 4
59.97	45	0 2 3
60.43	16	12 0 -4
61.46	15	12 0 -1
85.47	18	9 1 4

Structure:
abc: 18.8946 3.6409 9.6840
angles: 90.00 115.70 90.00
Space group C2/m (No. 12)
Asymmetric unit:
Tb1 0.0190 0.0000 0.3313 [4 per cell]
Tb2 0.1847 0.5000 0.3351 [4 per cell]
Pm1 0.1470 0.5000 0.6628 [4 per cell]
Pr1 0.1647 0.0000 0.0003 [4 per cell]
Er1 0.0000 0.5000 0.0000 [2 per cell]

***

Which formula does entry 1 have? Pm4Pr2ErSc

***

Repeat the third record exactly.
This entry pairs a crystal structure of PmPr2Er5Sc with its computed X-ray powder pattern. Radiation: Cu Ka. Structure: a DFT-relaxed cell (PBE, Alexandria).
Lines closer than 0.1° are merged.

Largest 12 diffraction maxima, by angle, 2θ = 10–90°:
two_theta	I (rel.)	h k l
27.02	23	1 3 2
28.49	18	0 6 1
30.57	40	1 1 3
32.06	46	2 0 0
32.67	100	1 5 2
34.30	12	0 0 4
43.42	12	2 6 1
47.66	9	2 0 4
51.83	12	0 6 5
57.54	20	3 5 2
60.43	13	1 11 3
62.26	14	2 6 5

Structure:
abc: 5.5832 19.6993 10.4581
angles: 90.00 90.00 90.00
Space group Cmc2_1 (No. 36)
Asymmetric unit:
Pm1 0.0000 0.0869 0.0000 [4 per cell]
Pr1 0.0000 0.3847 0.2746 [4 per cell]
Pr2 0.0000 0.3873 0.8560 [4 per cell]
Er1 0.0000 0.0178 0.2804 [4 per cell]
Er2 0.0000 0.1241 0.5599 [4 per cell]
Er3 0.0000 0.2029 0.2448 [4 per cell]
Er4 0.0000 0.2230 0.8637 [4 per cell]
Er5 0.0000 0.4830 0.5616 [4 per cell]
Sc1 0.0000 0.3026 0.5556 [4 per cell]